Diffraction record for Mg6Si5. The powder diffraction line list is simulated, not measured: it uses DFT lattice parameters and positions (PBE) and λ = 1.5418 Å (Cu Kα).
Kinematic intensities with the Lorentz-polarization factor, no thermal factor.

Most intense lines, 2θ from 15° to 90°, in order of rising 2θ:
| h k l | 2theta | Rel. int. |
| --- | --- | --- |
| 1 2 -2 | 33.36 | 34 |
| -1 2 1 | 33.75 | 63 |
| 1 -2 1 | 34.46 | 41 |
| 1 3 0 | 35.26 | 100 |
| 1 2 4 | 36.66 | 30 |
| 0 0 5 | 38.88 | 33 |
| 2 1 1 | 39.03 | 34 |
| -1 2 3 | 39.89 | 41 |
| 2 0 0 | 40.31 | 41 |
| 0 4 -1 | 47.37 | 30 |

Atomic structure:
Cell lengths 4.6271, 8.3170, 11.8165 Å; angles 79.78, 82.22, 76.25 degrees
Fractional positions:
Mg: 0.0000 0.0000 0.0000
Mg: 0.0039 0.6867 0.6702
Mg: 0.1968 0.2974 0.7108
Mg: 0.3822 0.9115 0.7781
Mg: 0.3913 0.0433 0.3653
Mg: 0.5209 0.8405 0.1537
Mg: 0.5399 0.4817 0.8239
Mg: 0.6648 0.4635 0.5626
Mg: 0.8003 0.0711 0.5547
Mg: 0.8701 0.7278 0.3832
Mg: 0.9034 0.3373 0.2964
Mg: 0.9620 0.4207 0.0297
Si: 0.2704 0.3244 0.4709
Si: 0.3395 0.5005 0.1648
Si: 0.3800 0.6874 0.9836
Si: 0.4246 0.5755 0.3425
Si: 0.4284 0.1718 0.9584
Si: 0.4737 0.8168 0.5678
Si: 0.5708 0.2170 0.1369
Si: 0.7612 0.1349 0.7835
Si: 0.8854 0.7238 0.9027
Si: 0.9428 0.0099 0.2371